Calculated X-ray powder pattern
Compound: PrErPb
Radiation: Cu Kα X-rays
Structure: a DFT-relaxed cell (PBE, Alexandria)
Lines closer than 0.1° are merged.

Structure:
Cell lengths 4.655, 4.657, 8.777 Å; angles 90.00, 90.05, 90.00 degrees
Space group P2_1/m (No. 11)
One atom of each set of equivalent atoms:
Pr1 0.249 0.250 0.155 (multiplicity 2)
Er1 0.250 0.750 0.500 (multiplicity 2)
Pb1 0.251 0.250 0.773 (multiplicity 2)

Most intense lines, 10° ≤ 2θ ≤ 90°, in order of rising 2θ:
- 27.08°, I 17
- 28.97°, I 66
- 30.55°, I 29
- 34.04°, I 100
- 36.26°, I 23
- 38.68°, I 54
- 50.07°, I 30
- 54.06°, I 15
- 55.85°, I 19
- 64.13°, I 14
- 65.01°, I 14
- 67.05°, I 33